[1]
The following is a simulated X-ray diffraction stick pattern of Tl2BiCl5. It was derived from a crystal structure in Alexandria, relaxed with PBE, using a wavelength of 1.5418 Å.

Structure:
```
data_Tl2BiCl5
_chemical_formula_sum 'Tl8 Bi4 Cl20'
_cell_length_a 13.101
_cell_length_b 8.864
_cell_length_c 8.312
_cell_angle_alpha 90.00
_cell_angle_beta 90.00
_cell_angle_gamma 90.00
_space_group_name_H-M_alt 'P n m a'
_space_group_IT_number 62
loop_
_space_group_symop_operation_xyz
'x,y,z'
'-x,-y,-z'
'-x+1/2,-y,z+1/2'
'x+1/2,y,-z+1/2'
'x+1/2,-y+1/2,-z+1/2'
'-x+1/2,y+1/2,z+1/2'
'-x,y+1/2,-z'
'x,-y+1/2,z'
loop_
_atom_site_label
_atom_site_fract_x
_atom_site_fract_y
_atom_site_fract_z
Tl1 0.166 0.006 0.068
Bi1 0.003 0.250 0.563
Cl1 0.011 0.250 0.913
Cl2 0.063 0.549 0.671
Cl3 0.186 0.250 0.397
Cl4 0.199 0.750 0.354
```

Top 10 peaks for 2θ from 15° to 90°, by angle:
| d [Å] | intensity | hkl |
| --- | --- | --- |
| 4.156 | 37.1 | 0 0 2 |
| 3.866 | 100.0 | 3 0 1 |
| 3.747 | 86.4 | 1 2 1 |
| 3.671 | 42.5 | 2 2 0 |
| 2.954 | 50.6 | 1 2 2 |
| 2.751 | 35.1 | 2 2 2 |
| 2.634 | 33.1 | 4 2 0 |
| 2.214 | 48.9 | 0 4 0 |
| 2.177 | 28.5 | 5 2 1 |
| 1.923 | 30.3 | 3 4 1 |



[2]
The following is a simulated X-ray diffraction stick pattern of TlBiCl4. It was derived from a crystal structure in Alexandria, relaxed with PBE, using a wavelength of 1.5418 Å.

Structure:
```
data_TlBiCl4
_chemical_formula_sum 'Tl4 Bi4 Cl16'
_cell_length_a 9.024
_cell_length_b 17.259
_cell_length_c 7.224
_cell_angle_alpha 90.00
_cell_angle_beta 118.56
_cell_angle_gamma 90.00
_space_group_name_H-M_alt 'C 1 2/c 1'
_space_group_IT_number 15
loop_
_space_group_symop_operation_xyz
'x,y,z'
'-x,-y,-z'
'-x,y,-z+1/2'
'x,-y,z+1/2'
'x+1/2,y+1/2,z'
'-x+1/2,-y+1/2,-z'
'-x+1/2,y+1/2,-z+1/2'
'x+1/2,-y+1/2,z+1/2'
loop_
_atom_site_label
_atom_site_fract_x
_atom_site_fract_y
_atom_site_fract_z
Tl1 0.000 0.175 0.250
Bi1 0.000 0.434 0.250
Cl1 0.193 0.446 0.682
Cl2 0.207 0.328 0.249
```

Top 10 peaks for 2θ from 15° to 90°, by angle:
| d [Å] | intensity | hkl |
| --- | --- | --- |
| 4.656 | 65.0 | 1 3 0 |
| 4.387 | 23.0 | 1 3 -1 |
| 3.974 | 72.4 | 2 0 0 |
| 3.568 | 34.2 | 0 4 1 |
| 3.170 | 74.3 | 0 0 2 |
| 3.098 | 100.0 | 2 4 -1 |
| 2.510 | 19.5 | 3 3 -2 |
| 2.355 | 50.0 | 2 4 1 |
| 2.319 | 26.6 | 1 1 -3 |
| 2.100 | 35.1 | 2 4 -3 |